Record 1
Diffraction record for UAl3Ga3. The X-ray diffraction stick pattern is theoretical, not measured: it uses DFT lattice parameters and positions (GGA-PBE) and Cu Ka.
Lines closer than 0.1° are merged.

Structure:
```
UAl3Ga3
1.0
6.9348 0.0000 0.0000
0.0000 6.9348 0.0000
0.0000 0.0000 6.9348
U Al Ga
2 6 6
Cartesian
0.0000 0.0000 0.0000
3.4674 3.4674 3.4674
0.0000 1.7337 3.4674
0.0000 5.2011 3.4674
1.7337 3.4674 0.0000
3.4674 0.0000 1.7337
3.4674 0.0000 5.2011
5.2011 3.4674 0.0000
0.0000 3.4674 1.7337
0.0000 3.4674 5.2011
1.7337 0.0000 3.4674
3.4674 1.7337 0.0000
3.4674 5.2011 0.0000
5.2011 0.0000 3.4674
```

Top 10 peaks for 15 to 90 degrees two-theta, in order of rising 2θ:
hkl, 2θ/deg, I_rel
1 1 0, 18.09, 26.2
2 0 0, 25.69, 42.2
2 1 0, 28.79, 10.2
2 1 1, 31.60, 100.0
3 2 1, 49.16, 59.0
4 0 0, 52.80, 15.3
4 2 0, 59.62, 16.7
3 3 2, 62.86, 14.3
5 2 1, 75.02, 17.4
6 1 1, 86.52, 18.8

=====

Record 2
Diffraction record for UAlGa. The X-ray diffraction stick pattern is theoretical, not measured: it uses DFT lattice parameters and positions (GGA-PBE) and Cu Ka.
Lines closer than 0.1° are merged.

Structure:
```
UAlGa
1.0
7.5404 0.0000 0.0000
0.0000 3.6985 0.0000
0.0000 0.0000 8.1813
U Al Ga
4 4 4
Cartesian
0.0647 0.9246 0.8653
3.7055 2.7738 4.9559
3.8349 0.9246 3.2254
7.4757 2.7738 7.3160
1.1540 0.9246 4.8033
2.6162 2.7738 0.7126
4.9242 0.9246 7.4686
6.3864 2.7738 3.3780
1.4105 2.7738 2.9837
2.3597 0.9246 7.0743
5.1807 2.7738 1.1070
6.1299 0.9246 5.1976
```

Top 10 peaks for 15 to 90 degrees two-theta, in order of rising 2θ:
hkl, 2θ/deg, I_rel
1 0 1, 15.98, 97.9
2 0 0, 23.60, 25.5
1 1 2, 34.80, 100.0
2 1 1, 35.74, 45.4
3 0 1, 37.43, 35.6
2 1 3, 47.96, 35.7
0 2 0, 49.29, 20.9
3 2 1, 63.48, 15.6
0 2 4, 68.40, 16.8
5 1 2, 71.39, 18.9

=====

Record 3
Diffraction record for AlV6Ga2. The X-ray diffraction stick pattern is theoretical, not measured: it uses DFT lattice parameters and positions (GGA-PBE) and Cu Ka.
Lines closer than 0.1° are merged.

Structure:
```
AlV6Ga2
1.0
2.6057 0.0000 0.0000
-0.5040 6.6501 0.0000
-0.2368 -1.5200 7.2211
Al V Ga
1 6 2
Cartesian
0.0000 0.0000 0.0000
0.2467 4.2142 0.7456
0.3803 5.5992 4.8461
0.9451 1.9222 1.6373
0.9197 3.2079 5.5838
1.4845 -0.4691 2.3750
1.6182 0.9158 6.4755
-0.1487 1.2350 4.0377
2.0135 3.8950 3.1834
```

Top 10 peaks for 15 to 90 degrees two-theta, in order of rising 2θ:
hkl, 2θ/deg, I_rel
0 3 0, 41.64, 34.5
0 2 -3, 41.87, 100.0
0 1 3, 42.65, 34.8
1 -2 1, 43.39, 30.5
1 3 -2, 58.73, 9.9
-1 3 2, 62.29, 9.4
1 -1 4, 62.64, 9.2
-1 1 5, 77.55, 9.0
0 1 -6, 77.65, 5.0
1 -4 4, 78.56, 8.3

=====

Record 4
Diffraction record for AlV6Ga. The X-ray diffraction stick pattern is theoretical, not measured: it uses DFT lattice parameters and positions (GGA-PBE) and Cu Ka.
Lines closer than 0.1° are merged.

Structure:
```
AlV6Ga
1.0
4.7922 0.0000 0.0000
0.0000 4.7922 0.0000
0.0000 0.0000 4.7922
Al V Ga
1 6 1
Cartesian
0.0000 0.0000 0.0000
0.0000 1.1929 2.3961
0.0000 3.5993 2.3961
1.1929 2.3961 0.0000
2.3961 0.0000 1.1929
2.3961 0.0000 3.5993
3.5993 2.3961 0.0000
2.3961 2.3961 2.3961
```

Top 10 peaks for 15 to 90 degrees two-theta, in order of rising 2θ:
hkl, 2θ/deg, I_rel
1 0 0, 18.51, 9.9
1 1 1, 32.36, 4.0
2 0 0, 37.54, 34.0
2 0 1, 42.17, 100.0
2 1 1, 46.41, 71.8
3 0 0, 57.71, 2.5
2 2 2, 67.73, 6.2
3 2 0, 70.90, 18.5
3 1 2, 74.02, 32.7
4 0 0, 80.10, 12.5